Simulated X-ray powder pattern of V2NiSbO8 for Cu Kα X-rays, from a crystal structure in Alexandria, relaxed with GGA+U.
Neutral-atom scattering factors, no anomalous dispersion.

```
data_V2NiSbO8
_symmetry_space_group_name_H-M 'P -3 m 1'
_symmetry_Int_Tables_number 164
_symmetry_space_group_name_Hall '-P 3 2"'
_cell_length_a 5.7420
_cell_length_b 5.7420
_cell_length_c 5.7610
_cell_angle_alpha 90.00
_cell_angle_beta 90.00
_cell_angle_gamma 120.00
loop_
_atom_site_label
_atom_site_type_symbol
_atom_site_fract_x
_atom_site_fract_y
_atom_site_fract_z
V1 V 0.3333 0.6667 0.1755
Ni1 Ni 0.0000 0.0000 0.0000
Sb1 Sb 0.0000 0.0000 0.5000
O1 O 0.1564 0.3128 0.2542
O2 O 0.3333 0.6667 0.8945
```

Most intense lines, 5 to 70 degrees two-theta, in order of rising 2θ:
(hkl)	2θ (°)	I (rel.)
1 0 0	17.84	96.6
1 0 1	23.63	78.9
1 1 0	31.15	100.0
0 1 2	36.04	63.7
1 1 2	44.56	23.8
2 0 2	48.37	56.6
2 1 1	51.12	19.1
3 0 0	55.43	17.7
1 2 2	58.65	34.4
2 2 0	64.95	27.1